No. 1
Diffraction record for Y10U4O27. The powder XRD pattern is simulated, not measured: it uses a crystal structure in Alexandria, relaxed with GGA-PBE and Cu Ka.

Largest 8 diffraction maxima, by angle, 2θ = 10–80°:
2θ 13.93, I = 20, (0 0 2); 2θ 28.60, I = 50, (1 1 2); 2θ 28.71, I = 51, (1 -2 0); 2θ 28.93, I = 100, (2 0 -2); 2θ 33.37, I = 58, (1 2 -2); 2θ 47.89, I = 18, (3 1 0); 2θ 47.99, I = 35, (1 -3 4); 2θ 56.96, I = 29, (4 -1 0)

Cell and atoms:
```
data_Y10U4O27
_cell_length_a 6.556
_cell_length_b 6.599
_cell_length_c 13.116
_cell_angle_alpha 99.03
_cell_angle_beta 99.25
_cell_angle_gamma 99.60
_space_group_name_H-M_alt 'P 1'
_space_group_IT_number 1
_space_group_name_Hall 'P 1'
loop_
_atom_site_label
_atom_site_fract_x
_atom_site_fract_y
_atom_site_fract_z
Y1 0.000 0.000 0.000
Y2 0.005 0.008 0.503
Y3 0.158 0.575 0.638
Y4 0.444 0.720 0.930
Y5 0.451 0.760 0.438
Y6 0.588 0.281 0.071
Y7 0.604 0.298 0.589
Y8 0.727 0.854 0.219
Y9 0.873 0.436 0.861
Y10 0.913 0.455 0.366
U1 0.155 0.573 0.138
U2 0.287 0.137 0.280
U3 0.300 0.158 0.790
U4 0.731 0.854 0.717
O1 0.046 0.901 0.674
O2 0.052 0.883 0.160
O3 0.124 0.684 0.990
O4 0.139 0.713 0.486
O5 0.202 0.453 0.806
O6 0.244 0.458 0.313
O7 0.254 0.240 0.130
O8 0.266 0.240 0.637
O9 0.325 0.047 0.932
O10 0.378 0.103 0.438
O11 0.380 0.827 0.264
O12 0.416 0.832 0.762
O13 0.454 0.596 0.100
O14 0.499 0.610 0.588
O15 0.548 0.396 0.914
O16 0.598 0.211 0.263
O17 0.616 0.177 0.743
O18 0.680 0.968 0.062
O19 0.700 0.972 0.573
O20 0.750 0.738 0.378
O21 0.760 0.764 0.868
O22 0.840 0.557 0.704
O23 0.872 0.534 0.196
O24 0.895 0.333 0.514
O25 0.929 0.336 0.024
O26 0.971 0.108 0.832
O27 0.995 0.105 0.331
```

***

No. 2
Diffraction record for Ti2Pd7Rh. The powder XRD pattern is simulated, not measured: it uses a crystal structure in Alexandria, relaxed with GGA-PBE and Cu Ka.

Largest 8 diffraction maxima, by angle, 2θ = 10–80°:
2θ 11.93, I = 33, (0 2 0); 2θ 32.25, I = 100, (2 4 0); 2θ 34.50, I = 63, (1 1 1); 2θ 38.89, I = 55, (2 0 1); 2θ 42.47, I = 92, (2 6 0); 2θ 43.25, I = 58, (4 0 0); 2θ 46.03, I = 61, (1 5 1); 2θ 46.52, I = 43, (3 1 1)

Cell and atoms:
```
data_Ti2Pd7Rh
_cell_length_a 8.367
_cell_length_b 14.833
_cell_length_c 2.781
_cell_angle_alpha 90.00
_cell_angle_beta 90.00
_cell_angle_gamma 90.00
_space_group_name_H-M_alt 'C m m m'
_space_group_IT_number 65
_space_group_name_Hall '-C 2 2'
loop_
_atom_site_label
_atom_site_fract_x
_atom_site_fract_y
_atom_site_fract_z
Ti1 0.000 0.171 0.000
Pd1 0.000 0.000 0.000
Pd2 0.000 0.311 0.500
Pd3 0.234 0.401 0.000
Rh1 0.000 0.500 0.500
```

***

No. 3
Diffraction record for Rb2Te2Pb. The powder XRD pattern is simulated, not measured: it uses a crystal structure in Alexandria, relaxed with GGA-PBE and Cu Ka.

Largest 8 diffraction maxima, by angle, 2θ = 10–80°:
2θ 11.99, I = 100, (0 2 0); 2θ 20.86, I = 45, (1 3 0); 2θ 24.63, I = 25, (2 1 1); 2θ 26.20, I = 50, (1 1 2); 2θ 31.37, I = 63, (2 0 2); 2θ 32.09, I = 66, (2 4 0); 2θ 33.73, I = 81, (0 4 2); 2θ 58.43, I = 24, (2 4 4)

Cell and atoms:
```
data_Rb2Te2Pb
_cell_length_a 8.536
_cell_length_b 14.739
_cell_length_c 7.666
_cell_angle_alpha 90.00
_cell_angle_beta 90.00
_cell_angle_gamma 90.00
_space_group_name_H-M_alt 'I b a m'
_space_group_IT_number 72
_space_group_name_Hall '-I 2 2c'
loop_
_atom_site_label
_atom_site_fract_x
_atom_site_fract_y
_atom_site_fract_z
Rb1 0.156 0.142 0.000
Te1 0.224 0.388 0.000
Pb1 0.000 0.500 0.250
```

***

No. 4
Diffraction record for Rb2AlCd4. The powder XRD pattern is simulated, not measured: it uses a crystal structure in Alexandria, relaxed with GGA-PBE and Cu Ka.

Largest 8 diffraction maxima, by angle, 2θ = 10–80°:
2θ 25.05, I = 60, (1 1 2); 2θ 28.41, I = 35, (0 0 6); 2θ 30.03, I = 100, (1 1 4); 2θ 33.01, I = 60, (2 0 0); 2θ 44.10, I = 41, (2 0 6); 2θ 47.38, I = 21, (2 2 0); 2θ 54.21, I = 24, (1 1 10); 2θ 57.12, I = 31, (3 1 4)

Cell and atoms:
```
data_Rb2AlCd4
_cell_length_a 5.427
_cell_length_b 5.427
_cell_length_c 18.853
_cell_angle_alpha 90.00
_cell_angle_beta 90.00
_cell_angle_gamma 90.00
_space_group_name_H-M_alt 'I 4/m m m'
_space_group_IT_number 139
_space_group_name_Hall '-I 4 2'
loop_
_atom_site_label
_atom_site_fract_x
_atom_site_fract_y
_atom_site_fract_z
Rb1 0.000 0.000 0.150
Al1 0.000 0.000 0.500
Cd1 0.000 0.000 0.350
Cd2 0.000 0.500 0.000
```

***

No. 5
Diffraction record for AcCeIr. The powder XRD pattern is simulated, not measured: it uses a crystal structure in Alexandria, relaxed with GGA-PBE and Cu Ka.

Largest 8 diffraction maxima, by angle, 2θ = 10–80°:
2θ 13.50, I = 34, (0 0 1); 2θ 27.83, I = 100, (1 0 1); 2θ 36.73, I = 52, (1 0 2); 2θ 42.63, I = 37, (1 1 0); 2θ 48.44, I = 24, (0 1 3); 2θ 51.68, I = 19, (0 2 1); 2θ 57.50, I = 14, (0 2 2); 2θ 69.15, I = 16, (2 1 1)

Cell and atoms:
```
data_AcCeIr
_cell_length_a 4.2420
_cell_length_b 4.2420
_cell_length_c 6.5606
_cell_angle_alpha 90.00
_cell_angle_beta 90.00
_cell_angle_gamma 120.00
_space_group_name_H-M_alt 'P 3 m 1'
_space_group_IT_number 156
_space_group_name_Hall 'P 3 -2"'
loop_
_atom_site_label
_atom_site_fract_x
_atom_site_fract_y
_atom_site_fract_z
Ac1 0.0000 0.0000 0.0000
Ce1 0.6667 0.3333 0.5288
Ir1 0.3333 0.6667 0.7361
```

***

No. 6
Diffraction record for Tm2Mg3Cd4. The powder XRD pattern is simulated, not measured: it uses a crystal structure in Alexandria, relaxed with GGA-PBE and Cu Ka.

Largest 8 diffraction maxima, by angle, 2θ = 10–80°:
2θ 20.55, I = 45, (0 4 0); 2θ 30.69, I = 66, (1 3 2); 2θ 31.71, I = 89, (1 5 1); 2θ 32.96, I = 100, (2 2 1); 2θ 34.84, I = 70, (0 2 3); 2θ 36.80, I = 99, (2 0 2); 2θ 37.68, I = 42, (2 4 1); 2θ 63.92, I = 48, (2 6 4)

Cell and atoms:
```
data_Tm2Mg3Cd4
_cell_length_a 6.123
_cell_length_b 17.289
_cell_length_c 8.093
_cell_angle_alpha 90.00
_cell_angle_beta 90.00
_cell_angle_gamma 90.00
_space_group_name_H-M_alt 'C m c e'
_space_group_IT_number 64
_space_group_name_Hall '-C 2ac 2'
loop_
_atom_site_label
_atom_site_fract_x
_atom_site_fract_y
_atom_site_fract_z
Tm1 0.000 0.093 0.106
Mg1 0.000 0.000 0.500
Mg2 0.250 0.240 0.750
Cd1 0.000 0.165 0.477
Cd2 0.250 0.070 0.750
```

***

No. 7
Diffraction record for ErU2O7. The powder XRD pattern is simulated, not measured: it uses a crystal structure in Alexandria, relaxed with GGA-PBE and Cu Ka.

Largest 8 diffraction maxima, by angle, 2θ = 10–80°:
2θ 26.31, I = 46, (0 0 9); 2θ 27.08, I = 30, (1 0 1); 2θ 27.56, I = 100, (0 1 2); 2θ 30.72, I = 59, (0 1 5); 2θ 34.01, I = 68, (1 0 7); 2θ 47.55, I = 60, (1 1 0); 2θ 50.13, I = 45, (0 1 14); 2θ 55.16, I = 37, (1 1 9)

Cell and atoms:
```
data_ErU2O7
_cell_length_a 3.8243
_cell_length_b 3.8243
_cell_length_c 30.4878
_cell_angle_alpha 90.00
_cell_angle_beta 90.00
_cell_angle_gamma 120.00
_space_group_name_H-M_alt 'R -3 m'
_space_group_IT_number 166
_space_group_name_Hall '-R 3 2"'
loop_
_atom_site_label
_atom_site_fract_x
_atom_site_fract_y
_atom_site_fract_z
Er1 0.0000 0.0000 0.0000
U1 0.0000 0.0000 0.4318
O1 0.0000 0.0000 0.0762
O2 0.0000 0.0000 0.2204
O3 0.0000 0.0000 0.3613
O4 0.0000 0.0000 0.5000
```

***

No. 8
Diffraction record for Cs3NpAu2Se6. The powder XRD pattern is simulated, not measured: it uses a crystal structure in Alexandria, relaxed with GGA-PBE and Cu Ka.

Largest 8 diffraction maxima, by angle, 2θ = 10–80°:
2θ 15.94, I = 24, (1 0 1); 2θ 22.38, I = 100, (1 1 0); 2θ 22.85, I = 69, (1 0 2); 2θ 28.36, I = 24, (0 0 3); 2θ 32.19, I = 63, (2 0 2); 2θ 38.78, I = 27, (0 2 3); 2θ 39.56, I = 51, (2 1 2); 2θ 45.67, I = 43, (2 2 0)

Cell and atoms:
```
data_Cs3NpAu2Se6
_cell_length_a 7.9460
_cell_length_b 7.9460
_cell_length_c 9.4401
_cell_angle_alpha 90.00
_cell_angle_beta 90.00
_cell_angle_gamma 120.00
_space_group_name_H-M_alt 'P -3 m 1'
_space_group_IT_number 164
_space_group_name_Hall '-P 3 2"'
loop_
_atom_site_label
_atom_site_fract_x
_atom_site_fract_y
_atom_site_fract_z
Cs1 0.0000 0.0000 0.0000
Cs2 0.3333 0.6667 0.6875
Np1 0.0000 0.0000 0.5000
Au1 0.3333 0.6667 0.3186
Se1 0.1521 0.3042 0.3149
```

***

Repeat the eighth record exactly.
Diffraction record for Cs3NpAu2Se6. The powder XRD pattern is simulated, not measured: it uses a crystal structure in Alexandria, relaxed with GGA-PBE and Cu Ka.

Largest 8 diffraction maxima, by angle, 2θ = 10–80°:
2θ 15.94, I = 24, (1 0 1); 2θ 22.38, I = 100, (1 1 0); 2θ 22.85, I = 69, (1 0 2); 2θ 28.36, I = 24, (0 0 3); 2θ 32.19, I = 63, (2 0 2); 2θ 38.78, I = 27, (0 2 3); 2θ 39.56, I = 51, (2 1 2); 2θ 45.67, I = 43, (2 2 0)

Cell and atoms:
```
data_Cs3NpAu2Se6
_cell_length_a 7.9460
_cell_length_b 7.9460
_cell_length_c 9.4401
_cell_angle_alpha 90.00
_cell_angle_beta 90.00
_cell_angle_gamma 120.00
_space_group_name_H-M_alt 'P -3 m 1'
_space_group_IT_number 164
_space_group_name_Hall '-P 3 2"'
loop_
_atom_site_label
_atom_site_fract_x
_atom_site_fract_y
_atom_site_fract_z
Cs1 0.0000 0.0000 0.0000
Cs2 0.3333 0.6667 0.6875
Np1 0.0000 0.0000 0.5000
Au1 0.3333 0.6667 0.3186
Se1 0.1521 0.3042 0.3149
```